1.
Computed X-ray powder pattern of ScAg2TeS4 for Cu Ka, from a cell relaxed with PBE.

Atomic structure:
```
16
Lattice="5.849 -5.108 0.000 5.849 5.108 0.000 -4.736 0.000 5.873" Properties=species:S:1:pos:R:3 pbc="T T T"
Sc 0.000 0.000 0.000
Sc -2.368 0.000 2.936
Ag 2.924 2.554 0.000
Ag 0.557 -2.554 2.936
Ag 5.849 0.000 0.000
Ag 3.481 0.000 2.936
Te 0.557 2.554 2.936
Te 2.924 -2.554 0.000
S -2.168 0.034 5.516
S 0.200 -0.034 2.579
S 3.182 2.439 2.624
S 6.147 2.439 0.313
S 0.815 -2.439 5.560
S 3.780 -2.439 3.249
S 6.762 0.034 3.293
S 9.130 -0.034 0.357
```

Principal peaks in the range 2θ = 15–90°, sorted by position:
3.399 Å, I 97.0; 3.034 Å, I 59.9; 2.936 Å, I 100.0; 2.873 Å, I 98.7; 2.554 Å, I 75.5; 1.909 Å, I 56.1



2.
Computed X-ray powder pattern of MnCu2PbCl6 for Cu Ka, from a cell relaxed with PBE.

Atomic structure:
```
10
Lattice="3.330 1.922 6.446 -3.330 1.922 6.446 0.000 -3.845 6.446" Properties=species:S:1:pos:R:3 pbc="T T T"
Mn 0.000 0.000 0.000
Cu 0.000 0.000 5.025
Cu 0.000 0.000 14.313
Pb 0.000 0.000 9.669
Cl -1.099 -2.097 7.933
Cl -2.365 -0.097 11.404
Cl -1.267 2.000 7.934
Cl 1.267 -2.000 11.404
Cl 2.365 0.097 7.933
Cl 1.099 2.097 11.404
```

Principal peaks in the range 2θ = 15–90°, sorted by position:
3.705 Å, I 100.0; 3.330 Å, I 41.1; 2.958 Å, I 37.0; 2.477 Å, I 33.1; 1.987 Å, I 37.1; 1.922 Å, I 35.0



3.
Computed X-ray powder pattern of GaSO6 for Cu Ka, from a cell relaxed with PBE.

Atomic structure:
```
8
Lattice="2.295 -4.777 0.000 2.295 4.777 0.000 -1.355 0.000 4.432" Properties=species:S:1:pos:R:3 pbc="T T T"
Ga 0.000 0.000 0.000
S 1.618 0.000 2.216
O 0.962 1.160 1.251
O 0.280 0.000 3.143
O 0.962 -1.160 1.251
O 2.273 1.160 3.181
O 2.955 0.000 1.289
O 2.273 -1.160 3.181
```

Principal peaks in the range 2θ = 15–90°, sorted by position:
4.777 Å, I 100.0; 3.457 Å, I 64.6; 2.637 Å, I 18.3; 2.079 Å, I 29.0; 1.854 Å, I 11.6; 1.568 Å, I 11.1



4.
Computed X-ray powder pattern of TbPrNdY2 for Cu Ka, from a cell relaxed with PBE.

Atomic structure:
```
10
Lattice="8.740 0.000 0.000 0.000 6.559 0.000 -1.119 0.000 6.133" Properties=species:S:1:pos:R:3 pbc="T T T"
Tb -0.280 0.356 1.533
Tb -0.839 6.203 4.600
Pr 0.000 3.279 0.000
Pr -0.560 3.279 3.067
Nd 4.090 2.191 1.533
Nd 3.531 4.368 4.600
Y 1.951 1.166 4.278
Y 2.511 5.393 1.211
Y 5.110 1.166 4.922
Y 5.670 5.393 1.855
```

Principal peaks in the range 2θ = 15–90°, sorted by position:
4.299 Å, I 49.6; 3.065 Å, I 100.0; 2.917 Å, I 40.0; 2.778 Å, I 54.9; 2.526 Å, I 48.8; 2.179 Å, I 35.5